Theoretical X-ray diffraction stick pattern of NpTlNi2O5 for CuKα, from a crystal structure in Alexandria, relaxed with PBE+U.
Neutral-atom scattering factors, no anomalous dispersion.

Structural model:
```
9
Lattice="-2.3948 2.9496 4.6600 2.3948 -2.9496 4.6600 2.3948 2.9496 -4.6600" Properties=species:S:1:pos:R:3 pbc="T T T"
Np 0.0000 0.0000 0.0000
Tl 0.0000 0.0000 4.6600
Ni 2.3948 0.0000 2.0294
Ni 0.0000 2.9496 2.6306
O 2.3948 0.0000 0.0000
O 2.3948 -1.5391 3.2181
O 0.0000 1.4105 1.4419
O 2.3948 1.5391 3.2181
O 0.0000 4.4887 1.4419
```

Principal peaks in the range 10 to 90 degrees two-theta, low angle first:
d_spacing  2theta  intensity
4.660  19.04  25
3.718  23.93  26
2.950  30.30  24
2.906  30.76  100
2.492  36.04  14
2.395  37.56  22
1.828  49.88  16
1.695  54.12  21
1.453  64.08  14
1.433  65.07  14